1.
BaPdO: theoretical PXRD pattern (Cu Kα (weighted mean of Kα1 and Kα2)), based on a DFT-relaxed cell (GGA-PBE, Alexandria).
Neutral-atom scattering factors, no anomalous dispersion.

Peak list (10 most intense, 2θ = 10–90°, low angle first)
| 2θ/deg | intensity |
| --- | --- |
| 19.07 | 35 |
| 24.65 | 57 |
| 25.17 | 92 |
| 32.54 | 100 |
| 33.74 | 64 |
| 37.95 | 50 |
| 38.30 | 56 |
| 42.23 | 26 |
| 51.67 | 40 |
| 61.41 | 27 |

Crystal structure
Unit cell a=5.3135 b=9.6515 c=5.4446 alpha=90.00 beta=90.00 gamma=90.00
Fractional positions:
Ba: 0.0000 0.1836 0.0000
Ba: 0.0000 0.8164 0.5000
Ba: 0.5000 0.3164 0.5000
Ba: 0.5000 0.6836 0.0000
Pd: 0.0000 0.4948 0.3120
Pd: 0.0000 0.5052 0.8120
Pd: 0.5000 0.0052 0.8120
Pd: 0.5000 0.9948 0.3120
O: 0.0000 0.3330 0.5750
O: 0.0000 0.6670 0.0750
O: 0.5000 0.1670 0.0750
O: 0.5000 0.8330 0.5750

2.
BaPrPdO4: theoretical PXRD pattern (Cu Kα (weighted mean of Kα1 and Kα2)), based on a DFT-relaxed cell (GGA-PBE, Alexandria).
Neutral-atom scattering factors, no anomalous dispersion.

Peak list (10 most intense, 2θ = 10–90°, low angle first)
| 2θ/deg | intensity |
| --- | --- |
| 30.31 | 100 |
| 30.71 | 72 |
| 41.85 | 20 |
| 42.15 | 15 |
| 43.98 | 36 |
| 53.61 | 14 |
| 54.35 | 40 |
| 62.33 | 12 |
| 63.96 | 11 |
| 72.61 | 12 |

Crystal structure
Unit cell a=4.1173 b=4.1173 c=12.6733 alpha=90.00 beta=90.00 gamma=90.00
Fractional positions:
Ba: 0.0000 0.0000 0.0000
Ba: 0.5000 0.5000 0.5000
Pr: 0.0000 0.0000 0.7212
Pr: 0.5000 0.5000 0.2212
Pd: 0.0000 0.0000 0.3600
Pd: 0.5000 0.5000 0.8600
O: 0.0000 0.0000 0.1968
O: 0.0000 0.0000 0.5364
O: 0.0000 0.5000 0.3389
O: 0.0000 0.5000 0.8389
O: 0.5000 0.0000 0.3389
O: 0.5000 0.0000 0.8389
O: 0.5000 0.5000 0.0364
O: 0.5000 0.5000 0.6968

3.
Ba2PuPd3O12: theoretical PXRD pattern (Cu Kα (weighted mean of Kα1 and Kα2)), based on a DFT-relaxed cell (GGA-PBE, Alexandria).
Neutral-atom scattering factors, no anomalous dispersion.

Peak list (10 most intense, 2θ = 10–90°, low angle first)
| 2θ/deg | intensity |
| --- | --- |
| 15.11 | 32 |
| 17.27 | 31 |
| 24.93 | 38 |
| 28.22 | 91 |
| 28.93 | 100 |
| 30.48 | 82 |
| 45.98 | 40 |
| 46.45 | 28 |
| 49.38 | 34 |
| 51.14 | 43 |

Crystal structure
Unit cell a=7.3907 b=7.3907 c=7.3907 alpha=57.81 beta=57.81 gamma=57.81
Fractional positions:
Ba: 0.1043 0.1043 0.1043
Ba: 0.8957 0.8957 0.8957
Pu: 0.5000 0.5000 0.5000
Pd: 0.0000 0.5000 0.5000
Pd: 0.5000 0.0000 0.5000
Pd: 0.5000 0.5000 0.0000
O: 0.1626 0.1626 0.5994
O: 0.1626 0.5994 0.1626
O: 0.1694 0.5760 0.5760
O: 0.4006 0.8374 0.8374
O: 0.4240 0.4240 0.8306
O: 0.4240 0.8306 0.4240
O: 0.5760 0.1694 0.5760
O: 0.5760 0.5760 0.1694
O: 0.5994 0.1626 0.1626
O: 0.8306 0.4240 0.4240
O: 0.8374 0.4006 0.8374
O: 0.8374 0.8374 0.4006

4.
Ba2Pd2RhO6: theoretical PXRD pattern (Cu Kα (weighted mean of Kα1 and Kα2)), based on a DFT-relaxed cell (GGA-PBE, Alexandria).
Neutral-atom scattering factors, no anomalous dispersion.

Peak list (10 most intense, 2θ = 10–90°, low angle first)
| 2θ/deg | intensity |
| --- | --- |
| 29.25 | 100 |
| 32.06 | 69 |
| 43.95 | 29 |
| 51.87 | 20 |
| 53.67 | 37 |
| 58.87 | 14 |
| 60.67 | 17 |
| 70.28 | 14 |
| 74.81 | 11 |
| 83.84 | 10 |

Crystal structure
Unit cell a=6.5152 b=6.5152 c=6.5152 alpha=55.88 beta=55.88 gamma=55.88
Fractional positions:
Ba: 0.2184 0.2184 0.2184
Ba: 0.7816 0.7816 0.7816
Pd: 0.4084 0.4084 0.4084
Pd: 0.5916 0.5916 0.5916
Rh: 0.0000 0.0000 0.0000
O: 0.2107 0.7745 0.7745
O: 0.2255 0.2255 0.7893
O: 0.2255 0.7893 0.2255
O: 0.7745 0.2107 0.7745
O: 0.7745 0.7745 0.2107
O: 0.7893 0.2255 0.2255

5.
BaPdRuO6: theoretical PXRD pattern (Cu Kα (weighted mean of Kα1 and Kα2)), based on a DFT-relaxed cell (GGA-PBE, Alexandria).
Neutral-atom scattering factors, no anomalous dispersion.

Peak list (10 most intense, 2θ = 10–90°, low angle first)
| 2θ/deg | intensity |
| --- | --- |
| 15.51 | 13 |
| 24.82 | 100 |
| 31.32 | 11 |
| 33.68 | 33 |
| 42.28 | 20 |
| 46.65 | 43 |
| 51.96 | 11 |
| 55.11 | 21 |
| 60.23 | 11 |
| 76.33 | 9 |

Crystal structure
Unit cell a=5.3228 b=5.3228 c=5.7123 alpha=90.00 beta=90.00 gamma=120.00
Fractional positions:
Ba: 0.0000 0.0000 0.0000
Pd: 0.3333 0.6667 0.5000
Ru: 0.6667 0.3333 0.5000
O: 0.3892 0.0100 0.6909
O: 0.3892 0.3792 0.3091
O: 0.6208 0.0100 0.3091
O: 0.6208 0.6108 0.6909
O: 0.9900 0.3792 0.6909
O: 0.9900 0.6108 0.3091

6.
Ba3ScPd2O6: theoretical PXRD pattern (Cu Kα (weighted mean of Kα1 and Kα2)), based on a DFT-relaxed cell (GGA-PBE, Alexandria).
Neutral-atom scattering factors, no anomalous dispersion.

Peak list (10 most intense, 2θ = 10–90°, low angle first)
| 2θ/deg | intensity |
| --- | --- |
| 29.76 | 100 |
| 31.37 | 88 |
| 43.79 | 50 |
| 52.82 | 20 |
| 53.84 | 39 |
| 56.83 | 14 |
| 61.81 | 17 |
| 65.46 | 12 |
| 70.96 | 17 |
| 73.54 | 13 |

Crystal structure
Unit cell a=6.0040 b=6.0040 c=6.8199 alpha=90.00 beta=90.00 gamma=120.00
Fractional positions:
Ba: 0.0000 0.0000 0.0000
Ba: 0.3333 0.6667 0.6408
Ba: 0.6667 0.3333 0.3592
Sc: 0.0000 0.0000 0.5000
Pd: 0.3333 0.6667 0.1547
Pd: 0.6667 0.3333 0.8453
O: 0.1621 0.3243 0.3158
O: 0.1621 0.8379 0.3158
O: 0.3243 0.1621 0.6842
O: 0.6757 0.8379 0.3158
O: 0.8379 0.1621 0.6842
O: 0.8379 0.6757 0.6842

7.
Ba3ScPd2O9: theoretical PXRD pattern (Cu Kα (weighted mean of Kα1 and Kα2)), based on a DFT-relaxed cell (GGA-PBE, Alexandria).
Neutral-atom scattering factors, no anomalous dispersion.

Peak list (10 most intense, 2θ = 10–90°, low angle first)
| 2θ/deg | intensity |
| --- | --- |
| 30.71 | 100 |
| 37.88 | 6 |
| 43.98 | 32 |
| 54.47 | 10 |
| 54.64 | 30 |
| 63.86 | 10 |
| 64.05 | 10 |
| 72.55 | 9 |
| 72.67 | 9 |
| 89.07 | 11 |

Crystal structure
Unit cell a=5.8155 b=5.8155 c=7.1499 alpha=90.00 beta=90.00 gamma=120.00
Fractional positions:
Ba: 0.0000 0.0000 0.0000
Ba: 0.3333 0.6667 0.6762
Ba: 0.6667 0.3333 0.3238
Sc: 0.0000 0.0000 0.5000
Pd: 0.3333 0.6667 0.1705
Pd: 0.6667 0.3333 0.8295
O: 0.0000 0.5000 0.0000
O: 0.1700 0.3399 0.3297
O: 0.1700 0.8300 0.3297
O: 0.3399 0.1700 0.6703
O: 0.5000 0.0000 0.0000
O: 0.5000 0.5000 0.0000
O: 0.6601 0.8300 0.3297
O: 0.8300 0.1700 0.6703
O: 0.8300 0.6601 0.6703

8.
BaSrPdO4: theoretical PXRD pattern (Cu Kα (weighted mean of Kα1 and Kα2)), based on a DFT-relaxed cell (GGA-PBE, Alexandria).
Neutral-atom scattering factors, no anomalous dispersion.

Peak list (10 most intense, 2θ = 10–90°, low angle first)
| 2θ/deg | intensity |
| --- | --- |
| 13.69 | 18 |
| 30.15 | 100 |
| 31.00 | 68 |
| 41.31 | 18 |
| 41.92 | 23 |
| 44.41 | 35 |
| 53.02 | 18 |
| 54.62 | 38 |
| 62.69 | 14 |
| 73.40 | 11 |

Crystal structure
Unit cell a=4.0795 b=4.0795 c=12.9406 alpha=90.00 beta=90.00 gamma=90.00
Fractional positions:
Ba: 0.0000 0.0000 0.0000
Ba: 0.5000 0.5000 0.5000
Sr: 0.0000 0.0000 0.7156
Sr: 0.5000 0.5000 0.2156
Pd: 0.0000 0.0000 0.3568
Pd: 0.5000 0.5000 0.8568
O: 0.0000 0.0000 0.1978
O: 0.0000 0.0000 0.5174
O: 0.0000 0.5000 0.3439
O: 0.0000 0.5000 0.8439
O: 0.5000 0.0000 0.3439
O: 0.5000 0.0000 0.8439
O: 0.5000 0.5000 0.0174
O: 0.5000 0.5000 0.6978

9.
BaSr2PdO5: theoretical PXRD pattern (Cu Kα (weighted mean of Kα1 and Kα2)), based on a DFT-relaxed cell (GGA-PBE, Alexandria).
Neutral-atom scattering factors, no anomalous dispersion.

Peak list (10 most intense, 2θ = 10–90°, low angle first)
| 2θ/deg | intensity |
| --- | --- |
| 14.95 | 10 |
| 29.70 | 26 |
| 30.16 | 15 |
| 30.76 | 100 |
| 42.84 | 24 |
| 45.26 | 14 |
| 53.37 | 21 |
| 55.07 | 9 |
| 64.08 | 13 |
| 74.50 | 11 |

Crystal structure
Unit cell a=6.9408 b=6.9408 c=6.9408 alpha=146.45 beta=128.63 gamma=62.77
Fractional positions:
Ba: 0.0000 0.0000 0.0000
Sr: 0.2896 0.7896 0.5000
Sr: 0.7104 0.2104 0.5000
Pd: 0.5000 0.5000 0.0000
O: 0.1346 0.3714 0.7632
O: 0.3917 0.6286 0.7632
O: 0.5000 0.0000 0.5000
O: 0.6083 0.3714 0.2368
O: 0.8654 0.6286 0.2368

10.
BaThPdO4: theoretical PXRD pattern (Cu Kα (weighted mean of Kα1 and Kα2)), based on a DFT-relaxed cell (GGA-PBE, Alexandria).
Neutral-atom scattering factors, no anomalous dispersion.

Peak list (10 most intense, 2θ = 10–90°, low angle first)
| 2θ/deg | intensity |
| --- | --- |
| 15.65 | 53 |
| 27.17 | 47 |
| 27.34 | 13 |
| 29.43 | 100 |
| 31.12 | 26 |
| 31.40 | 17 |
| 49.38 | 20 |
| 49.48 | 25 |
| 49.65 | 16 |
| 58.61 | 17 |

Crystal structure
Unit cell a=7.4836 b=7.4836 c=7.4836 alpha=128.31 beta=122.64 gamma=80.83
Fractional positions:
Ba: 0.4286 0.1786 0.2500
Ba: 0.5714 0.8214 0.7500
Th: 0.0000 0.5000 0.5000
Th: 0.5000 0.5000 0.0000
Pd: 0.0000 0.0000 0.5000
Pd: 0.0000 0.5000 0.0000
O: 0.1373 0.7089 0.4284
O: 0.2196 0.2911 0.9284
O: 0.2925 0.3358 0.5433
O: 0.2925 0.7492 0.9567
O: 0.7075 0.2508 0.0433
O: 0.7075 0.6642 0.4567
O: 0.7804 0.7089 0.0716
O: 0.8627 0.2911 0.5716

11.
BaPm2O4: theoretical PXRD pattern (Cu Kα (weighted mean of Kα1 and Kα2)), based on a DFT-relaxed cell (GGA-PBE, Alexandria).
Neutral-atom scattering factors, no anomalous dispersion.

Peak list (10 most intense, 2θ = 10–90°, low angle first)
| 2θ/deg | intensity |
| --- | --- |
| 28.53 | 48 |
| 28.83 | 100 |
| 29.81 | 72 |
| 29.91 | 32 |
| 33.93 | 19 |
| 41.79 | 37 |
| 42.09 | 20 |
| 50.70 | 33 |
| 51.31 | 27 |
| 59.36 | 27 |

Crystal structure
Unit cell a=10.6919 b=3.6023 c=12.5142 alpha=90.00 beta=90.00 gamma=90.00
Fractional positions:
Ba: 0.2479 0.2500 0.1475
Ba: 0.2521 0.7500 0.6475
Ba: 0.7479 0.2500 0.3525
Ba: 0.7521 0.7500 0.8525
Pm: 0.0764 0.2500 0.8884
Pm: 0.0777 0.2500 0.3886
Pm: 0.4223 0.7500 0.8886
Pm: 0.4236 0.7500 0.3884
Pm: 0.5764 0.2500 0.6116
Pm: 0.5777 0.2500 0.1114
Pm: 0.9223 0.7500 0.6114
Pm: 0.9236 0.7500 0.1116
O: 0.0168 0.7500 0.7825
O: 0.0710 0.2500 0.5756
O: 0.1199 0.7500 0.0189
O: 0.2107 0.7500 0.3332
O: 0.2893 0.2500 0.8332
O: 0.3801 0.2500 0.5189
O: 0.4290 0.7500 0.0756
O: 0.4832 0.2500 0.2825
O: 0.5168 0.7500 0.7175
O: 0.5710 0.2500 0.9244
O: 0.6199 0.7500 0.4811
O: 0.7107 0.7500 0.1668
O: 0.7893 0.2500 0.6668
O: 0.8801 0.2500 0.9811
O: 0.9290 0.7500 0.4244
O: 0.9832 0.2500 0.2175

12.
Ba2PmReO6: theoretical PXRD pattern (Cu Kα (weighted mean of Kα1 and Kα2)), based on a DFT-relaxed cell (GGA-PBE, Alexandria).
Neutral-atom scattering factors, no anomalous dispersion.

Peak list (10 most intense, 2θ = 10–90°, low angle first)
| 2θ/deg | intensity |
| --- | --- |
| 17.89 | 2 |
| 20.68 | 4 |
| 29.41 | 100 |
| 42.08 | 28 |
| 47.33 | 2 |
| 52.17 | 41 |
| 61.03 | 18 |
| 69.18 | 18 |
| 76.90 | 6 |
| 84.39 | 22 |

Crystal structure
Unit cell a=6.0734 b=6.0734 c=6.0734 alpha=60.00 beta=60.00 gamma=60.00
Fractional positions:
Ba: 0.2500 0.2500 0.2500
Ba: 0.7500 0.7500 0.7500
Pm: 0.0000 0.0000 0.0000
Re: 0.5000 0.5000 0.5000
O: 0.2690 0.2690 0.7310
O: 0.2690 0.7310 0.2690
O: 0.2690 0.7310 0.7310
O: 0.7310 0.2690 0.2690
O: 0.7310 0.2690 0.7310
O: 0.7310 0.7310 0.2690